Diffraction record for CePb2IO4. The X-ray diffraction stick pattern is computed, not measured: it uses a structure optimized by DFT (GGA-PBE) and CuKα.
Intensities are scaled so that the largest is 100.

Crystal structure
Lattice parameters (Å, degrees): 4.0048 4.0048 9.7370 90.00 90.00 90.00
Fractional positions:
Ce 0.0000 0.0000 0.0000
Pb 0.5000 0.5000 0.2620
Pb 0.5000 0.5000 0.7380
I 0.0000 0.0000 0.5000
O 0.0000 0.5000 0.1355
O 0.0000 0.5000 0.8645
O 0.5000 0.0000 0.1355
O 0.5000 0.0000 0.8645

The 10 most intense peaks (5 to 70 degrees two-theta), by angle:
two_theta, I_rel
22.2, 4
28.9, 100
31.6, 32
36.9, 10
45.3, 18
49.4, 26
54.6, 34
59.8, 11
61.7, 11
66.0, 6



Diffraction record for SrCe2IO8. The X-ray diffraction stick pattern is computed, not measured: it uses a structure optimized by DFT (GGA-PBE) and CuKα.
Intensities are scaled so that the largest is 100.

Crystal structure
Lattice parameters (Å, degrees): 5.1408 7.1575 5.1430 90.00 90.60 90.00
Fractional positions:
Sr 0.0000 0.0000 0.0000
Ce 0.5000 0.2496 0.5000
Ce 0.5000 0.7504 0.5000
I 0.0000 0.5000 0.0000
O 0.1887 0.2977 0.1896
O 0.1887 0.7023 0.1896
O 0.2799 0.5000 0.7213
O 0.3288 0.0000 0.6728
O 0.6712 0.0000 0.3272
O 0.7201 0.5000 0.2787
O 0.8113 0.2977 0.8104
O 0.8113 0.7023 0.8104

The 10 most intense peaks (5 to 70 degrees two-theta), by angle:
two_theta, I_rel
24.4, 57
24.6, 56
30.4, 100
34.9, 27
46.8, 40
47.1, 39
49.9, 10
57.5, 11
59.8, 24
63.3, 12



Diffraction record for CeTaIO4. The X-ray diffraction stick pattern is computed, not measured: it uses a structure optimized by DFT (GGA-PBE) and CuKα.
Intensities are scaled so that the largest is 100.

Crystal structure
Lattice parameters (Å, degrees): 6.9339 6.9339 6.8842 106.62 106.62 62.59
Fractional positions:
Ce 0.2397 0.2397 0.3506
Ce 0.7603 0.7603 0.6494
Ta 0.1214 0.1214 0.7266
Ta 0.8786 0.8786 0.2734
I 0.4994 0.4994 0.2447
I 0.5006 0.5006 0.7553
O 0.0090 0.4039 0.6603
O 0.0504 0.0504 0.3574
O 0.1687 0.1687 0.0128
O 0.4039 0.0090 0.6603
O 0.5961 0.9910 0.3397
O 0.8313 0.8313 0.9872
O 0.9496 0.9496 0.6426
O 0.9910 0.5961 0.3397

The 10 most intense peaks (5 to 70 degrees two-theta), by angle:
two_theta, I_rel
13.7, 27
24.3, 32
24.7, 100
26.4, 39
27.0, 65
27.5, 43
32.4, 70
37.3, 33
41.7, 25
48.6, 24